[1]
For Ta2Se8I, a crystal structure in the Materials Project, relaxed with PBE gives the calculated X-ray powder pattern in this record (a wavelength of 1.5418 Å).

Most intense lines, 15° ≤ 2θ ≤ 90°, in order of rising 2θ:
Position (°2θ)	I_rel
18.12	59
21.41	24
28.99	27
30.39	18
32.02	38
33.09	25
37.98	34
40.23	100
41.23	37
74.48	21

a b c (Å): 9.496 9.496 9.496
angles (deg): 117.92 117.92 93.64
Atoms (fractional coordinates):
Ta1 0.000 0.500 0.500
Ta2 0.250 0.750 0.500
Ta3 0.500 0.000 0.500
Ta4 0.750 0.250 0.500
Se1 0.002 0.804 0.566
Se2 0.080 0.324 0.664
Se3 0.196 0.998 0.434
Se4 0.238 0.435 0.434
Se5 0.324 0.660 0.245
Se6 0.340 0.676 0.755
Se7 0.415 0.080 0.755
Se8 0.435 0.002 0.197
Se9 0.565 0.762 0.566
Se10 0.585 0.340 0.664
Se11 0.660 0.415 0.336
Se12 0.676 0.920 0.336
Se13 0.762 0.196 0.197
Se14 0.804 0.238 0.803
Se15 0.920 0.585 0.245
Se16 0.998 0.565 0.803
I1 0.154 0.154 0.000
I2 0.846 0.846 0.000



[2]
For Tc3Se4I, a crystal structure in the Materials Project, relaxed with PBE gives the calculated X-ray powder pattern in this record (a wavelength of 1.5418 Å).

Most intense lines, 15° ≤ 2θ ≤ 90°, in order of rising 2θ:
Position (°2θ)	I_rel
15.28	88
27.79	80
30.72	88
35.52	52
40.14	86
40.76	100
42.49	50
45.53	83
50.11	49
50.55	63

a b c (Å): 6.685 12.249 11.465
angles (deg): 90.00 115.06 90.00
Atoms (fractional coordinates):
Tc1 0.036 0.142 0.450
Tc2 0.036 0.358 0.950
Tc3 0.041 0.055 0.661
Tc4 0.041 0.445 0.161
Tc5 0.302 0.523 0.060
Tc6 0.302 0.977 0.560
Tc7 0.698 0.023 0.440
Tc8 0.698 0.477 0.940
Tc9 0.959 0.555 0.839
Tc10 0.959 0.945 0.339
Tc11 0.964 0.642 0.050
Tc12 0.964 0.858 0.550
Se1 0.218 0.707 0.956
Se2 0.218 0.793 0.456
Se3 0.268 0.066 0.343
Se4 0.268 0.434 0.843
Se5 0.296 0.604 0.260
Se6 0.296 0.896 0.760
Se7 0.362 0.162 0.665
Se8 0.362 0.338 0.165
Se9 0.638 0.662 0.835
Se10 0.638 0.838 0.335
Se11 0.704 0.104 0.240
Se12 0.704 0.396 0.740
Se13 0.732 0.566 0.157
Se14 0.732 0.934 0.657
Se15 0.782 0.207 0.544
Se16 0.782 0.293 0.044
I1 0.111 0.134 0.908
I2 0.111 0.366 0.408
I3 0.889 0.634 0.592
I4 0.889 0.866 0.092



[3]
For Tl6SeI4, a crystal structure in the Materials Project, relaxed with PBE gives the calculated X-ray powder pattern in this record (a wavelength of 1.5418 Å).

Most intense lines, 15° ≤ 2θ ≤ 90°, in order of rising 2θ:
Position (°2θ)	I_rel
22.75	19
27.57	100
28.42	19
29.75	58
31.09	19
35.98	17
42.57	15
43.83	13
47.35	18
59.69	19

a b c (Å): 9.498 9.498 9.985
angles (deg): 90.00 90.00 90.00
Atoms (fractional coordinates):
Tl1 0.000 0.000 0.200
Tl2 0.000 0.000 0.800
Tl3 0.104 0.309 0.500
Tl4 0.191 0.396 0.000
Tl5 0.309 0.896 0.500
Tl6 0.396 0.809 0.000
Tl7 0.500 0.500 0.300
Tl8 0.500 0.500 0.700
Tl9 0.604 0.191 0.000
Tl10 0.691 0.104 0.500
Tl11 0.809 0.604 0.000
Tl12 0.896 0.691 0.500
Se1 0.000 0.000 0.500
Se2 0.500 0.500 0.000
I1 0.168 0.668 0.250
I2 0.168 0.668 0.750
I3 0.332 0.168 0.250
I4 0.332 0.168 0.750
I5 0.668 0.832 0.250
I6 0.668 0.832 0.750
I7 0.832 0.332 0.250
I8 0.832 0.332 0.750



[4]
For Tl5Se2I, a crystal structure in the Materials Project, relaxed with PBE gives the calculated X-ray powder pattern in this record (a wavelength of 1.5418 Å).

Most intense lines, 15° ≤ 2θ ≤ 90°, in order of rising 2θ:
Position (°2θ)	I_rel
23.35	35
29.03	44
29.49	100
31.99	76
32.44	19
39.18	19
48.57	27
50.82	31
59.61	21
62.16	20

a b c (Å): 9.436 9.436 9.436
angles (deg): 124.09 124.09 83.05
Atoms (fractional coordinates):
Tl1 0.000 0.000 0.000
Tl2 0.009 0.509 0.788
Tl3 0.221 0.009 0.500
Tl4 0.279 0.779 0.788
Tl5 0.491 0.279 0.500
Tl6 0.500 0.500 0.000
Tl7 0.509 0.721 0.500
Tl8 0.721 0.221 0.212
Tl9 0.779 0.991 0.500
Tl10 0.991 0.491 0.212
Se1 0.162 0.338 0.500
Se2 0.338 0.838 0.176
Se3 0.662 0.162 0.824
Se4 0.838 0.662 0.500
I1 0.250 0.250 0.000
I2 0.750 0.750 0.000



[5]
For SiI3, a crystal structure in the Materials Project, relaxed with PBE gives the calculated X-ray powder pattern in this record (a wavelength of 1.5418 Å).

Most intense lines, 15° ≤ 2θ ≤ 90°, in order of rising 2θ:
Position (°2θ)	I_rel
22.09	36
22.82	15
25.39	100
31.97	17
40.07	19
40.84	27
46.23	23
48.04	12
61.86	10
64.29	8

a b c (Å): 9.220 9.220 9.220
angles (deg): 50.01 50.01 50.01
Atoms (fractional coordinates):
Si1 0.049 0.049 0.049
Si2 0.951 0.951 0.951
I1 0.088 0.778 0.377
I2 0.222 0.623 0.912
I3 0.377 0.088 0.778
I4 0.623 0.912 0.222
I5 0.778 0.377 0.088
I6 0.912 0.222 0.623



[6]
For SiI3, a crystal structure in the Materials Project, relaxed with PBE gives the calculated X-ray powder pattern in this record (a wavelength of 1.5418 Å).

Most intense lines, 15° ≤ 2θ ≤ 90°, in order of rising 2θ:
Position (°2θ)	I_rel
21.76	33
23.44	25
24.17	74
25.71	100
27.76	15
29.12	20
37.70	23
43.48	24
45.27	27
47.94	18

a b c (Å): 14.726 13.285 8.503
angles (deg): 90.00 90.00 90.00
Atoms (fractional coordinates):
Si1 0.104 0.250 0.219
Si2 0.147 0.250 0.951
Si3 0.353 0.750 0.451
Si4 0.396 0.750 0.719
Si5 0.604 0.250 0.281
Si6 0.647 0.250 0.549
Si7 0.853 0.750 0.049
Si8 0.896 0.750 0.781
I1 0.007 0.250 0.791
I2 0.014 0.098 0.270
I3 0.014 0.402 0.270
I4 0.237 0.098 0.897
I5 0.237 0.402 0.897
I6 0.242 0.250 0.382
I7 0.258 0.750 0.882
I8 0.263 0.598 0.397
I9 0.263 0.902 0.397
I10 0.486 0.598 0.770
I11 0.486 0.902 0.770
I12 0.493 0.750 0.291
I13 0.507 0.250 0.709
I14 0.514 0.098 0.230
I15 0.514 0.402 0.230
I16 0.737 0.098 0.603
I17 0.737 0.402 0.603
I18 0.742 0.250 0.118
I19 0.758 0.750 0.618
I20 0.763 0.598 0.103
I21 0.763 0.902 0.103
I22 0.986 0.598 0.730
I23 0.986 0.902 0.730
I24 0.993 0.750 0.209



[7]
For Sm3I, a crystal structure in the Materials Project, relaxed with PBE gives the calculated X-ray powder pattern in this record (a wavelength of 1.5418 Å).

Most intense lines, 15° ≤ 2θ ≤ 90°, in order of rising 2θ:
Position (°2θ)	I_rel
30.78	100
33.03	21
36.96	31
50.40	25
53.26	11
57.60	17
62.79	26
64.12	12
81.22	6
82.30	12

a b c (Å): 4.864 4.864 10.848
angles (deg): 90.00 90.00 90.00
Atoms (fractional coordinates):
Sm1 0.000 0.000 0.000
Sm2 0.000 0.500 0.250
Sm3 0.000 0.500 0.750
Sm4 0.500 0.000 0.250
Sm5 0.500 0.000 0.750
Sm6 0.500 0.500 0.500
I1 0.000 0.000 0.500
I2 0.500 0.500 0.000



[8]
For Sm3I, a crystal structure in the Materials Project, relaxed with PBE gives the calculated X-ray powder pattern in this record (a wavelength of 1.5418 Å).

Most intense lines, 15° ≤ 2θ ≤ 90°, in order of rising 2θ:
Position (°2θ)	I_rel
29.37	23
31.09	27
33.33	100
43.30	16
52.10	19
56.75	22
61.92	22
63.26	16
86.32	14
87.72	9

a b c (Å): 7.022 7.022 5.753
angles (deg): 90.00 90.00 120.00
Atoms (fractional coordinates):
Sm1 0.166 0.332 0.250
Sm2 0.166 0.834 0.250
Sm3 0.332 0.166 0.750
Sm4 0.668 0.834 0.250
Sm5 0.834 0.166 0.750
Sm6 0.834 0.668 0.750
I1 0.333 0.667 0.750
I2 0.667 0.333 0.250